Record 1
This entry pairs a crystal structure of As3W with its simulated XRD peak list. Radiation: Cu Kα (λ = 1.5418 Å). Structure: a PBE-relaxed structure.
No peak broadening, texture or thermal motion is included.

The 6 most intense peaks (10° ≤ 2θ ≤ 80°), in order of rising 2θ:
| 2theta | intensity |
| --- | --- |
| 16.89 | 25 |
| 34.16 | 25 |
| 39.05 | 25 |
| 39.50 | 100 |
| 71.05 | 18 |
| 74.99 | 18 |

Structure:
```
As3W
1.0
6.062 0.000 0.000
-3.031 5.250 0.000
0.000 0.000 4.613
As W
6 2
Cartesian
0.000 1.964 1.153
-1.330 4.268 1.153
1.701 0.982 3.460
1.330 4.268 1.153
4.361 0.982 3.460
3.031 3.286 3.460
0.000 3.500 3.460
3.031 1.750 1.153
```

---

Record 2
This entry pairs a crystal structure of Eu3Th with its simulated XRD peak list. Radiation: Cu Kα (λ = 1.5418 Å). Structure: a PBE-relaxed structure.
No peak broadening, texture or thermal motion is included.

The 6 most intense peaks (10° ≤ 2θ ≤ 80°), in order of rising 2θ:
| 2theta | intensity |
| --- | --- |
| 29.83 | 100 |
| 42.70 | 19 |
| 52.96 | 41 |
| 61.97 | 13 |
| 70.29 | 18 |
| 78.18 | 4 |

Structure:
```
Eu3Th
1.0
0.000 4.235 4.235
4.235 0.000 4.235
4.235 4.235 0.000
Eu Th
3 1
Cartesian
0.000 0.000 0.000
2.118 2.118 2.118
6.353 6.353 6.353
4.235 4.235 4.235
```

---

Record 3
This entry pairs a crystal structure of Mg2Sb3O8 with its simulated XRD peak list. Radiation: Cu Kα (λ = 1.5418 Å). Structure: a PBE-relaxed structure.
No peak broadening, texture or thermal motion is included.

The 6 most intense peaks (10° ≤ 2θ ≤ 80°), in order of rising 2θ:
| 2theta | intensity |
| --- | --- |
| 17.40 | 100 |
| 33.09 | 37 |
| 34.02 | 54 |
| 35.52 | 26 |
| 43.24 | 42 |
| 54.50 | 23 |

Structure:
```
Mg2Sb3O8
1.0
5.563 -3.203 0.000
5.563 3.203 0.000
-2.210 0.000 5.054
Mg Sb O
2 3 8
Cartesian
2.077 0.000 0.709
6.839 0.000 4.345
4.458 1.697 2.527
5.563 0.000 0.000
4.458 -1.697 2.527
0.245 0.000 2.088
3.969 1.559 0.537
4.946 1.559 4.517
3.124 0.000 2.693
5.791 0.000 2.361
3.969 -1.559 0.537
4.946 -1.559 4.517
8.670 0.000 2.966
```

---

Record 4
This entry pairs a crystal structure of Tb2EuSe4 with its simulated XRD peak list. Radiation: Cu Kα (λ = 1.5418 Å). Structure: a PBE-relaxed structure.
No peak broadening, texture or thermal motion is included.

The 6 most intense peaks (10° ≤ 2θ ≤ 80°), in order of rising 2θ:
| 2theta | intensity |
| --- | --- |
| 24.42 | 88 |
| 25.52 | 49 |
| 28.83 | 82 |
| 30.97 | 83 |
| 35.31 | 100 |
| 43.54 | 92 |

Structure:
```
Tb2EuSe4
1.0
12.510 0.000 0.000
0.000 4.156 0.000
0.000 0.000 15.001
Tb Eu Se
8 4 16
Cartesian
0.863 1.039 1.653
1.007 1.039 8.987
5.248 3.117 1.486
5.392 3.117 9.154
7.118 1.039 5.847
7.262 1.039 13.515
11.503 3.117 6.014
11.647 3.117 13.348
3.035 1.039 5.051
3.220 3.117 12.551
9.291 1.039 2.449
9.475 3.117 9.950
0.270 3.117 10.742
1.104 1.039 13.797
1.680 3.117 7.062
2.612 3.117 2.677
3.643 1.039 10.178
4.575 1.039 14.562
5.151 3.117 6.296
5.985 1.039 3.241
6.526 3.117 11.759
7.359 1.039 8.704
7.936 3.117 0.438
8.868 3.117 4.823
9.898 1.039 12.323
10.830 1.039 7.939
11.407 3.117 1.204
12.240 1.039 4.259
```

---

Record 5
This entry pairs a crystal structure of MgTe4MoW3Se2S2 with its simulated XRD peak list. Radiation: Cu Kα (λ = 1.5418 Å). Structure: a PBE-relaxed structure.
No peak broadening, texture or thermal motion is included.

The 6 most intense peaks (10° ≤ 2θ ≤ 80°), in order of rising 2θ:
| 2theta | intensity |
| --- | --- |
| 11.41 | 100 |
| 30.51 | 44 |
| 35.80 | 85 |
| 43.27 | 46 |
| 54.21 | 27 |
| 66.67 | 14 |

Structure:
```
MgTe4MoW3Se2S2
1.0
3.385 0.000 0.000
1.692 2.931 0.000
0.000 0.000 38.787
Mg Te Mo W Se S
1 4 1 3 2 2
Cartesian
0.000 0.000 0.000
1.553 0.494 13.626
1.553 0.494 17.380
1.553 0.494 28.187
1.553 0.494 31.962
1.553 2.448 15.501
1.553 2.448 30.077
1.553 0.494 8.212
1.553 0.494 22.788
1.553 2.448 6.554
1.553 2.448 9.874
1.553 2.448 21.279
1.553 2.448 24.297
```

---

Record 6
This entry pairs a crystal structure of Na3Eu with its simulated XRD peak list. Radiation: Cu Kα (λ = 1.5418 Å). Structure: a PBE-relaxed structure.
No peak broadening, texture or thermal motion is included.

The 6 most intense peaks (10° ≤ 2θ ≤ 80°), in order of rising 2θ:
| 2theta | intensity |
| --- | --- |
| 17.77 | 68 |
| 20.55 | 37 |
| 29.22 | 100 |
| 34.41 | 42 |
| 45.75 | 19 |
| 51.81 | 39 |

Structure:
```
Na3Eu
1.0
0.000 4.322 4.322
4.322 0.000 4.322
4.322 4.322 0.000
Na Eu
3 1
Cartesian
0.000 0.000 0.000
2.161 2.161 2.161
6.483 6.483 6.483
4.322 4.322 4.322
```